No. 1
Diffraction record for Rb4OsO5. The XRD peak list is theoretical, not measured: it uses a GGA-PBE-relaxed structure and Cu Kα (weighted mean of Kα1 and Kα2).
Peak positions follow from Bragg's law for the DFT cell and can differ from measured ones.

Structural model:
Lattice parameters (Å, degrees): 8.364 8.364 5.605 90.00 90.00 90.00
Space group I4 (No. 79)
Symmetry-distinct sites (fractional):
Rb 0.100 0.300 0.000 [8 per cell]
Os 0.000 0.000 0.451 [2 per cell]
O 0.000 0.000 0.125 [2 per cell]
O 0.071 0.216 0.513 [8 per cell]

Main lines, in order of rising 2θ (5 to 70 degrees two-theta):
19.1 deg, 4.656 Å, I 207; 28.7 deg, 3.111 Å, I 1000; 31.9 deg, 2.802 Å, I 264; 33.9 deg, 2.645 Å, I 462; 47.3 deg, 1.923 Å, I 311; 57.5 deg, 1.603 Å, I 336

No. 2
Diffraction record for Rb2OsO4. The XRD peak list is theoretical, not measured: it uses a GGA-PBE-relaxed structure and Cu Kα (weighted mean of Kα1 and Kα2).
Peak positions follow from Bragg's law for the DFT cell and can differ from measured ones.

Structural model:
Lattice parameters (Å, degrees): 9.068 9.171 8.019 90.00 90.00 90.00
Space group Fmm2 (No. 42)
Symmetry-distinct sites (fractional):
Rb 0.250 0.250 0.000 [8 per cell]
Os 0.000 0.000 0.248 [4 per cell]
O 0.000 0.187 0.313 [8 per cell]
O 0.189 0.000 0.182 [8 per cell]

Main lines, in order of rising 2θ (5 to 70 degrees two-theta):
17.6 deg, 5.025 Å, I 1000; 27.7 deg, 3.224 Å, I 366; 29.6 deg, 3.018 Å, I 438; 29.7 deg, 3.004 Å, I 435; 50.0 deg, 1.823 Å, I 178; 50.3 deg, 1.813 Å, I 176

No. 3
Diffraction record for RbTeOsO. The XRD peak list is theoretical, not measured: it uses a GGA-PBE-relaxed structure and Cu Kα (weighted mean of Kα1 and Kα2).
Peak positions follow from Bragg's law for the DFT cell and can differ from measured ones.

Structural model:
Lattice parameters (Å, degrees): 4.554 7.495 7.188 90.00 90.00 90.00
Space group Pmc2_1 (No. 26)
Symmetry-distinct sites (fractional):
Rb 0.000 0.210 0.000 [2 per cell]
Te 0.000 0.277 0.483 [2 per cell]
Os 0.500 0.442 0.417 [2 per cell]
O 0.500 0.457 0.157 [2 per cell]

Main lines, in order of rising 2θ (5 to 70 degrees two-theta):
11.8 deg, 7.495 Å, I 1000; 22.9 deg, 3.892 Å, I 453; 24.8 deg, 3.594 Å, I 591; 26.8 deg, 3.323 Å, I 330; 30.9 deg, 2.894 Å, I 700; 40.0 deg, 2.254 Å, I 475

No. 4
Diffraction record for Os3S5O. The XRD peak list is theoretical, not measured: it uses a GGA-PBE-relaxed structure and Cu Kα (weighted mean of Kα1 and Kα2).
Peak positions follow from Bragg's law for the DFT cell and can differ from measured ones.

Structural model:
Lattice parameters (Å, degrees): 7.4010 7.4010 2.8916 90.00 90.00 120.00
Space group P-62m (No. 189)
Symmetry-distinct sites (fractional):
Os 0.0000 0.4775 0.0000 [3 per cell]
S 0.0000 0.2340 0.5000 [3 per cell]
S 0.3333 0.6667 0.5000 [2 per cell]
O 0.0000 0.0000 0.0000 [1 per cell]

Main lines, in order of rising 2θ (5 to 70 degrees two-theta):
13.8 deg, 6.409 Å, I 480; 24.0 deg, 3.701 Å, I 248; 27.8 deg, 3.205 Å, I 945; 42.1 deg, 2.147 Å, I 1000; 49.2 deg, 1.850 Å, I 259; 59.3 deg, 1.559 Å, I 239

No. 5
Diffraction record for Os2SO7. The XRD peak list is theoretical, not measured: it uses a GGA-PBE-relaxed structure and Cu Kα (weighted mean of Kα1 and Kα2).
Peak positions follow from Bragg's law for the DFT cell and can differ from measured ones.

Structural model:
Lattice parameters (Å, degrees): 7.955 6.700 4.051 90.00 90.00 90.00
Space group Pmn2_1 (No. 31)
Symmetry-distinct sites (fractional):
Os 0.223 0.177 0.000 [4 per cell]
S 0.000 0.516 0.719 [2 per cell]
O 0.000 0.134 0.993 [2 per cell]
O 0.000 0.382 0.448 [2 per cell]
O 0.000 0.739 0.585 [2 per cell]
O 0.154 0.498 0.926 [4 per cell]
O 0.239 0.111 0.519 [4 per cell]

Main lines, in order of rising 2θ (5 to 70 degrees two-theta):
13.2 deg, 6.700 Å, I 285; 22.4 deg, 3.977 Å, I 620; 25.7 deg, 3.467 Å, I 1000; 26.1 deg, 3.420 Å, I 385; 34.3 deg, 2.613 Å, I 677; 34.7 deg, 2.582 Å, I 363

No. 6
Diffraction record for Sb2OsO4. The XRD peak list is theoretical, not measured: it uses a GGA-PBE-relaxed structure and Cu Kα (weighted mean of Kα1 and Kα2).
Peak positions follow from Bragg's law for the DFT cell and can differ from measured ones.

Structural model:
Lattice parameters (Å, degrees): 9.608 9.608 9.608 90.00 90.00 90.00
Space group Fd-3m (No. 227, origin choice 2)
Symmetry-distinct sites (fractional):
Sb 0.000 0.000 0.000 [16 per cell]
Os 0.125 0.125 0.625 [8 per cell]
O 0.012 0.012 0.738 [32 per cell]

Main lines, in order of rising 2θ (5 to 70 degrees two-theta):
26.2 deg, 3.397 Å, I 407; 30.9 deg, 2.897 Å, I 1000; 32.3 deg, 2.774 Å, I 141; 46.3 deg, 1.961 Å, I 173; 49.3 deg, 1.849 Å, I 338; 54.0 deg, 1.698 Å, I 363

No. 7
Diffraction record for Os2Se4O. The XRD peak list is theoretical, not measured: it uses a GGA-PBE-relaxed structure and Cu Kα (weighted mean of Kα1 and Kα2).
Peak positions follow from Bragg's law for the DFT cell and can differ from measured ones.

Structural model:
Lattice parameters (Å, degrees): 4.307 4.307 6.006 90.00 90.00 90.00
Space group P4/mmm (No. 123)
Symmetry-distinct sites (fractional):
Os 0.000 0.000 0.000 [1 per cell]
Os 0.500 0.500 0.500 [1 per cell]
Se 0.000 0.500 0.249 [4 per cell]
O 0.000 0.000 0.500 [1 per cell]

Main lines, in order of rising 2θ (5 to 70 degrees two-theta):
25.4 deg, 3.500 Å, I 960; 42.0 deg, 2.153 Å, I 511; 42.3 deg, 2.138 Å, I 1000; 49.7 deg, 1.834 Å, I 326; 50.3 deg, 1.815 Å, I 158; 60.8 deg, 1.523 Å, I 169

No. 8
Diffraction record for OsSeO4. The XRD peak list is theoretical, not measured: it uses a GGA-PBE-relaxed structure and Cu Kα (weighted mean of Kα1 and Kα2).
Peak positions follow from Bragg's law for the DFT cell and can differ from measured ones.

Structural model:
Lattice parameters (Å, degrees): 6.436 12.936 3.916 90.00 90.00 90.00
Space group Ima2 (No. 46)
Symmetry-distinct sites (fractional):
Os 0.250 0.154 0.000 [4 per cell]
Se 0.250 0.619 0.725 [4 per cell]
O 0.055 0.648 0.425 [8 per cell]
O 0.250 0.014 0.230 [4 per cell]
O 0.250 0.196 0.482 [4 per cell]

Main lines, in order of rising 2θ (5 to 70 degrees two-theta):
15.4 deg, 5.762 Å, I 1000; 23.7 deg, 3.748 Å, I 696; 27.6 deg, 3.234 Å, I 575; 27.7 deg, 3.218 Å, I 826; 30.1 deg, 2.972 Å, I 874; 30.8 deg, 2.899 Å, I 679